Starting from a DFT-relaxed cell (PBE, Alexandria), the powder X-ray diffraction pattern of Pm5PrTl6 was calculated for CuKα.
Intensities are scaled so that the largest is 100.

Largest 6 diffraction maxima, in order of rising 2θ, 2θ from 10° to 90°:
2θ = 32.4°, intensity 100; 2θ = 32.6°, intensity 99; 2θ = 32.7°, intensity 98; 2θ = 57.9°, intensity 39; 2θ = 58.1°, intensity 39; 2θ = 58.3°, intensity 38

```
data_Pm5PrTl6
_cell_length_a 5.521
_cell_length_b 7.720
_cell_length_c 8.717
_cell_angle_alpha 90.00
_cell_angle_beta 108.09
_cell_angle_gamma 90.00
_space_group_name_H-M_alt 'P 1 2/m 1'
_space_group_IT_number 10
loop_
_space_group_symop_operation_xyz
'x,y,z'
'-x,-y,-z'
'-x,y,-z'
'x,-y,z'
loop_
_atom_site_label
_atom_site_type_symbol
_atom_site_fract_x
_atom_site_fract_y
_atom_site_fract_z
Pm1 Pm 0.000 0.000 0.000
Pm2 Pm 0.333 0.500 0.666
Pm3 Pm 0.334 0.000 0.669
Pr1 Pr 0.000 0.500 0.000
Tl1 Tl 0.168 0.248 0.336
Tl2 Tl 0.500 0.248 0.000
```